[1]
# Na2P2H12O11F2
Calculated XRD peak list, Cu Ka. Input: the GGA-PBE geometry in Alexandria.
Kinematic intensities with the Lorentz-polarization factor, no thermal factor.

Main lines, in order of rising 2θ (2θ from 10° to 80°):
| 2θ/deg | I_rel |
| --- | --- |
| 14.71 | 86.2 |
| 17.26 | 61.8 |
| 20.07 | 61.8 |
| 21.74 | 95.9 |
| 23.85 | 35.3 |
| 24.75 | 100.0 |
| 26.93 | 80.0 |
| 28.21 | 68.9 |
| 29.19 | 40.5 |
| 29.83 | 31.6 |

Crystal structure
abc: 10.039 10.039 12.714
angles: 107.97 107.97 30.93
Positions (direct):
Na  0.070  0.886  0.618
Na  0.114  0.930  0.882
Na  0.886  0.070  0.118
Na  0.930  0.114  0.382
P  0.004  0.669  0.221
P  0.331  0.996  0.279
P  0.669  0.004  0.721
P  0.996  0.331  0.779
H  0.002  0.226  0.087
H  0.131  0.560  0.448
H  0.226  0.002  0.587
H  0.260  0.434  0.561
H  0.261  0.265  0.684
H  0.265  0.261  0.184
H  0.269  0.558  0.982
H  0.412  0.508  0.244
H  0.434  0.260  0.061
H  0.440  0.869  0.052
H  0.442  0.731  0.518
H  0.492  0.588  0.256
H  0.508  0.412  0.744
H  0.558  0.269  0.482
H  0.560  0.131  0.948
H  0.566  0.740  0.939
H  0.588  0.492  0.756
H  0.731  0.442  0.018
H  0.735  0.739  0.816
H  0.739  0.735  0.316
H  0.740  0.566  0.439
H  0.774  0.998  0.413
H  0.869  0.440  0.552
H  0.998  0.774  0.913
O  0.047  0.784  0.233
O  0.094  0.281  0.681
O  0.120  0.740  0.964
O  0.216  0.953  0.267
O  0.244  0.511  0.516
O  0.255  0.371  0.180
O  0.260  0.880  0.536
O  0.281  0.094  0.181
O  0.371  0.255  0.680
O  0.429  0.571  0.750
O  0.489  0.756  0.984
O  0.511  0.244  0.016
O  0.571  0.429  0.250
O  0.629  0.745  0.320
O  0.719  0.906  0.819
O  0.740  0.120  0.464
O  0.745  0.629  0.820
O  0.756  0.489  0.484
O  0.784  0.047  0.733
O  0.880  0.260  0.036
O  0.906  0.719  0.319
O  0.953  0.216  0.767
F  0.208  0.213  0.881
F  0.213  0.208  0.381
F  0.787  0.792  0.619
F  0.792  0.787  0.119


[2]
# NaPH2OF6
Calculated XRD peak list, Cu Ka. Input: the GGA-PBE geometry in Alexandria.
Kinematic intensities with the Lorentz-polarization factor, no thermal factor.

Main lines, in order of rising 2θ (2θ from 10° to 80°):
| 2θ/deg | I_rel |
| --- | --- |
| 16.26 | 42.0 |
| 16.45 | 26.4 |
| 18.01 | 100.0 |
| 21.90 | 24.2 |
| 24.36 | 98.4 |
| 27.40 | 50.9 |
| 39.84 | 19.8 |
| 40.18 | 18.5 |
| 49.71 | 22.7 |
| 56.55 | 28.4 |

Crystal structure
abc: 10.901 8.116 6.197
angles: 90.00 90.00 90.00
Positions (direct):
Na  0.249  0.250  0.250
Na  0.251  0.750  0.250
Na  0.749  0.250  0.750
Na  0.751  0.750  0.750
P  0.000  0.000  0.000
P  0.000  0.500  0.500
P  0.500  0.000  0.000
P  0.500  0.500  0.500
H  0.178  0.502  0.930
H  0.178  0.998  0.570
H  0.322  0.002  0.570
H  0.322  0.498  0.930
H  0.678  0.502  0.070
H  0.678  0.998  0.430
H  0.822  0.002  0.430
H  0.822  0.498  0.070
O  0.250  0.000  0.475
O  0.250  0.500  0.025
O  0.750  0.000  0.525
O  0.750  0.500  0.975
F  0.016  0.508  0.762
F  0.016  0.992  0.738
F  0.101  0.648  0.474
F  0.101  0.852  0.026
F  0.110  0.137  0.011
F  0.110  0.363  0.489
F  0.390  0.637  0.489
F  0.390  0.863  0.011
F  0.399  0.148  0.026
F  0.399  0.352  0.474
F  0.484  0.008  0.738
F  0.484  0.492  0.762
F  0.516  0.508  0.238
F  0.516  0.992  0.262
F  0.601  0.648  0.526
F  0.601  0.852  0.974
F  0.610  0.137  0.989
F  0.610  0.363  0.511
F  0.890  0.637  0.511
F  0.890  0.863  0.989
F  0.899  0.148  0.974
F  0.899  0.352  0.526
F  0.984  0.008  0.262
F  0.984  0.492  0.238


[3]
# NaSnPHO4F
Calculated XRD peak list, Cu Ka. Input: the GGA-PBE geometry in Alexandria.
Kinematic intensities with the Lorentz-polarization factor, no thermal factor.

Main lines, in order of rising 2θ (2θ from 10° to 80°):
| 2θ/deg | I_rel |
| --- | --- |
| 18.70 | 68.2 |
| 20.35 | 26.0 |
| 25.18 | 53.3 |
| 28.52 | 100.0 |
| 33.89 | 29.3 |
| 36.57 | 16.3 |
| 37.90 | 19.3 |
| 39.85 | 24.0 |
| 41.69 | 20.5 |
| 59.39 | 19.3 |

Crystal structure
abc: 4.915 5.290 18.983
angles: 90.00 90.00 90.00
Positions (direct):
Na  0.235  0.250  0.007
Na  0.265  0.750  0.507
Na  0.735  0.250  0.493
Na  0.765  0.750  0.993
Sn  0.216  0.750  0.141
Sn  0.284  0.250  0.641
Sn  0.716  0.750  0.359
Sn  0.784  0.250  0.859
P  0.239  0.750  0.869
P  0.261  0.250  0.369
P  0.739  0.750  0.631
P  0.761  0.250  0.131
H  0.013  0.750  0.764
H  0.487  0.250  0.264
H  0.513  0.750  0.736
H  0.987  0.250  0.236
O  0.044  0.750  0.621
O  0.099  0.511  0.899
O  0.099  0.989  0.899
O  0.201  0.750  0.784
O  0.299  0.250  0.284
O  0.401  0.011  0.399
O  0.401  0.489  0.399
O  0.456  0.250  0.121
O  0.544  0.750  0.879
O  0.599  0.511  0.601
O  0.599  0.989  0.601
O  0.701  0.750  0.716
O  0.799  0.250  0.216
O  0.901  0.011  0.101
O  0.901  0.489  0.101
O  0.956  0.250  0.379
F  0.176  0.250  0.535
F  0.324  0.750  0.035
F  0.676  0.250  0.965
F  0.824  0.750  0.465


[4]
# Na2TeHSO5F3
Calculated XRD peak list, Cu Ka. Input: the GGA-PBE geometry in Alexandria.
Kinematic intensities with the Lorentz-polarization factor, no thermal factor.

Main lines, in order of rising 2θ (2θ from 10° to 80°):
| 2θ/deg | I_rel |
| --- | --- |
| 10.86 | 60.3 |
| 17.74 | 89.9 |
| 19.51 | 58.1 |
| 25.31 | 44.9 |
| 25.93 | 37.3 |
| 26.05 | 62.9 |
| 27.05 | 31.0 |
| 28.12 | 100.0 |
| 29.31 | 31.1 |
| 35.91 | 25.2 |

Crystal structure
abc: 8.147 7.804 10.909
angles: 90.00 90.47 90.00
Positions (direct):
Na  0.077  0.014  0.260
Na  0.077  0.486  0.760
Na  0.267  0.199  0.976
Na  0.267  0.301  0.476
Na  0.733  0.699  0.524
Na  0.733  0.801  0.024
Na  0.923  0.514  0.240
Na  0.923  0.986  0.740
Te  0.399  0.554  0.212
Te  0.399  0.946  0.712
Te  0.601  0.054  0.288
Te  0.601  0.446  0.788
H  0.439  0.633  0.926
H  0.439  0.867  0.426
H  0.561  0.133  0.574
H  0.561  0.367  0.074
S  0.138  0.737  0.506
S  0.138  0.763  0.006
S  0.862  0.237  0.994
S  0.862  0.263  0.494
O  0.006  0.190  0.431
O  0.006  0.310  0.931
O  0.116  0.732  0.371
O  0.116  0.768  0.871
O  0.179  0.567  0.558
O  0.179  0.933  0.058
O  0.286  0.640  0.028
O  0.286  0.860  0.528
O  0.451  0.147  0.615
O  0.451  0.353  0.115
O  0.549  0.647  0.885
O  0.549  0.853  0.385
O  0.714  0.140  0.472
O  0.714  0.360  0.972
O  0.821  0.067  0.942
O  0.821  0.433  0.442
O  0.884  0.232  0.129
O  0.884  0.268  0.629
O  0.994  0.690  0.069
O  0.994  0.810  0.569
F  0.195  0.083  0.738
F  0.195  0.417  0.238
F  0.355  0.101  0.322
F  0.355  0.399  0.822
F  0.475  0.064  0.863
F  0.475  0.436  0.363
F  0.525  0.564  0.637
F  0.525  0.936  0.137
F  0.645  0.601  0.178
F  0.645  0.899  0.678
F  0.805  0.583  0.762
F  0.805  0.917  0.262


[5]
# NaTeH6O6F
Calculated XRD peak list, Cu Ka. Input: the GGA-PBE geometry in Alexandria.
Kinematic intensities with the Lorentz-polarization factor, no thermal factor.

Main lines, in order of rising 2θ (2θ from 10° to 80°):
| 2θ/deg | I_rel |
| --- | --- |
| 17.99 | 91.6 |
| 19.76 | 30.6 |
| 21.33 | 100.0 |
| 29.20 | 32.3 |
| 35.50 | 53.5 |
| 36.44 | 23.3 |
| 47.36 | 17.3 |
| 48.16 | 17.2 |
| 50.40 | 25.1 |
| 57.33 | 19.5 |

Crystal structure
abc: 5.716 5.716 5.716
angles: 64.70 64.70 64.70
Positions (direct):
Na  0.000  0.000  0.000
Te  0.625  0.625  0.625
H  0.076  0.638  0.575
H  0.242  0.421  0.944
H  0.421  0.944  0.242
H  0.575  0.076  0.638
H  0.638  0.575  0.076
H  0.944  0.242  0.421
O  0.258  0.590  0.778
O  0.444  0.976  0.690
O  0.590  0.778  0.258
O  0.690  0.444  0.976
O  0.778  0.258  0.590
O  0.976  0.690  0.444
F  0.181  0.181  0.181


[6]
# NbHF4
Calculated XRD peak list, Cu Ka. Input: the GGA-PBE geometry in Alexandria.
Kinematic intensities with the Lorentz-polarization factor, no thermal factor.

Main lines, in order of rising 2θ (2θ from 10° to 80°):
| 2θ/deg | I_rel |
| --- | --- |
| 21.07 | 100.0 |
| 22.20 | 83.4 |
| 24.72 | 87.5 |
| 24.91 | 45.1 |
| 28.61 | 62.2 |
| 29.21 | 93.4 |
| 35.89 | 49.5 |
| 39.55 | 45.5 |
| 47.30 | 62.1 |
| 51.70 | 42.3 |

Crystal structure
abc: 4.609 4.609 7.657
angles: 106.23 106.23 68.99
Positions (direct):
Nb  0.096  0.904  0.750
Nb  0.904  0.096  0.250
H  0.000  0.000  0.000
H  0.000  0.000  0.500
F  0.065  0.340  0.802
F  0.269  0.533  0.583
F  0.340  0.065  0.302
F  0.467  0.731  0.917
F  0.533  0.269  0.083
F  0.660  0.935  0.698
F  0.731  0.467  0.417
F  0.935  0.660  0.198


[7]
# NbH2F6
Calculated XRD peak list, Cu Ka. Input: the GGA-PBE geometry in Alexandria.
Kinematic intensities with the Lorentz-polarization factor, no thermal factor.

Main lines, in order of rising 2θ (2θ from 10° to 80°):
| 2θ/deg | I_rel |
| --- | --- |
| 19.07 | 100.0 |
| 19.88 | 90.2 |
| 21.24 | 25.5 |
| 24.95 | 47.2 |
| 30.15 | 16.4 |
| 33.05 | 19.0 |
| 33.90 | 19.3 |
| 36.64 | 17.8 |
| 40.20 | 14.8 |
| 40.37 | 23.3 |

Crystal structure
abc: 5.043 5.093 10.042
angles: 90.00 112.42 90.00
Positions (direct):
Nb  0.000  0.000  0.000
Nb  0.000  0.500  0.500
H  0.185  0.225  0.276
H  0.185  0.275  0.776
H  0.815  0.725  0.224
H  0.815  0.775  0.724
F  0.080  0.234  0.363
F  0.080  0.266  0.863
F  0.261  0.206  0.186
F  0.261  0.294  0.686
F  0.313  0.714  0.507
F  0.313  0.786  0.007
F  0.687  0.214  0.993
F  0.687  0.286  0.493
F  0.739  0.706  0.314
F  0.739  0.794  0.814
F  0.920  0.734  0.137
F  0.920  0.766  0.637


[8]
# NbSb2HF
Calculated XRD peak list, Cu Ka. Input: the GGA-PBE geometry in Alexandria.
Kinematic intensities with the Lorentz-polarization factor, no thermal factor.

Main lines, in order of rising 2θ (2θ from 10° to 80°):
| 2θ/deg | I_rel |
| --- | --- |
| 17.09 | 34.0 |
| 22.12 | 18.5 |
| 24.26 | 16.4 |
| 33.06 | 100.0 |
| 34.57 | 56.0 |
| 45.12 | 17.7 |
| 49.70 | 19.4 |
| 58.06 | 25.1 |
| 60.99 | 37.7 |
| 69.36 | 15.1 |

Crystal structure
abc: 5.189 5.189 4.019
angles: 90.00 90.00 90.00
Positions (direct):
Nb  0.000  0.000  0.000
Sb  0.000  0.500  0.500
Sb  0.500  0.000  0.500
H  0.500  0.500  0.000
F  0.000  0.000  0.500